Diffraction record for BaTl2Se4. The powder diffractogram is theoretical, not measured: it uses a structure optimized by DFT (PBE) and λ = 1.5418 Å (Cu Kα).
Neutral-atom scattering factors, no anomalous dispersion.

a b c (Å): 8.2025 8.2025 6.9646
angles (deg): 90.00 90.00 90.00
Space group I422 (No. 97)
Symmetry-distinct sites (fractional):
Ba (0.0000, 0.0000, 0.0000)
Tl (0.0000, 0.5000, 0.0000)
Se (0.1798, 0.3202, 0.7500)

Main lines, in order of rising 2θ (15 to 90 degrees two-theta):
2θ 15.28, I = 656, hkl 1 1 0; 2θ 21.67, I = 295, hkl 2 0 0; 2θ 27.48, I = 431, hkl 2 1 1; 2θ 30.83, I = 514, hkl 2 2 0; 2θ 33.77, I = 1000, hkl 2 0 2; 2θ 40.48, I = 184, hkl 2 2 2; 2θ 43.51, I = 297, hkl 3 1 2; 2θ 49.71, I = 204, hkl 4 2 0; 2θ 51.73, I = 205, hkl 4 0 2; 2θ 56.72, I = 225, hkl 4 2 2

---

Diffraction record for Ce3AsP2Rh8. The powder diffractogram is theoretical, not measured: it uses a structure optimized by DFT (PBE) and λ = 1.5418 Å (Cu Kα).
Neutral-atom scattering factors, no anomalous dispersion.

a b c (Å): 5.6734 5.6734 9.1330
angles (deg): 90.00 90.00 120.00
Space group P-3m1 (No. 164)
Symmetry-distinct sites (fractional):
Ce (0.0000, 0.0000, 0.0000)
Ce (0.3333, 0.6667, 0.7836)
As (0.0000, 0.0000, 0.5000)
P (0.3333, 0.6667, 0.4613)
Rh (0.1638, 0.3275, 0.2908)
Rh (0.3333, 0.6667, 0.0459)

Main lines, in order of rising 2θ (15 to 90 degrees two-theta):
2θ 19.44, I = 238, hkl 0 0 2; 2θ 31.54, I = 520, hkl 1 1 0; 2θ 33.07, I = 295, hkl 1 1 1; 2θ 34.66, I = 238, hkl 0 1 3; 2θ 37.32, I = 301, hkl 1 1 2; 2θ 37.93, I = 1000, hkl 0 2 1; 2θ 41.75, I = 486, hkl 2 0 2; 2θ 43.72, I = 301, hkl 0 1 4; 2θ 47.56, I = 627, hkl 0 2 3; 2θ 65.85, I = 381, hkl 2 2 0